Ba3AcCu2O6: calculated X-ray diffraction stick pattern (Cu Kα), based on DFT lattice parameters and positions (PBE).
Lines closer than 0.1° are merged.

Cell and atoms:
Lattice parameters (Å, degrees): 6.3933 6.3933 7.0872 90.00 90.00 120.00
Fractional positions:
Ba 0.0000 0.0000 0.0000
Ba 0.3333 0.6667 0.6722
Ba 0.6667 0.3333 0.3278
Ac 0.0000 0.0000 0.5000
Cu 0.3333 0.6667 0.2138
Cu 0.6667 0.3333 0.7862
O 0.1680 0.3360 0.2824
O 0.1680 0.8320 0.2824
O 0.3360 0.1680 0.7176
O 0.6640 0.8320 0.2824
O 0.8320 0.1680 0.7176
O 0.8320 0.6640 0.7176

Peak list (12 most intense, 2θ = 10–90°, most intense first)
| 2θ (°) | I/Imax | h k l |
| --- | --- | --- |
| 27.91 | 1000 | 1 1 0 |
| 29.94 | 893 | 0 1 2 |
| 41.39 | 479 | 2 0 2 |
| 50.66 | 412 | 1 2 2 |
| 49.38 | 209 | 3 0 0 |
| 16.01 | 197 | 1 0 0 |
| 66.34 | 186 | 3 1 2 |
| 57.67 | 174 | 2 2 0 |
| 12.49 | 166 | 0 0 1 |
| 54.37 | 132 | 1 0 4 |
| 69.52 | 129 | 2 1 4 |
| 80.29 | 111 | 2 3 2 |